No. 1
Simulated powder XRD pattern of LaB5O9 for Cu Ka, from the GGA-PBE geometry in the Materials Project.
Peak positions follow from Bragg's law for the DFT cell and can differ from measured ones.

Structural model:
a = 6.5046 Å, b = 11.8244 Å, c = 8.2634 Å
α = 90.00°, β = 105.28°, γ = 90.00°
Space group P2_1/c (No. 14)
Asymmetric unit:
La 0.2498 0.1741 0.1400
B 0.0192 0.5980 0.7257
B 0.2107 0.0553 0.4543
B 0.2738 0.7487 0.3310
B 0.3122 0.6304 0.5921
B 0.3532 0.0360 0.7555
O 0.0845 0.6130 0.5695
O 0.0866 0.6990 0.8360
O 0.1020 0.0095 0.3019
O 0.2191 0.0984 0.8260
O 0.2568 0.1678 0.4508
O 0.2795 0.5112 0.0971
O 0.3626 0.6614 0.4354
O 0.3893 0.7222 0.7191
O 0.4337 0.5260 0.6613

Main lines, in order of falling intensity (15 to 90 degrees two-theta):
two_theta  Rel. int.  hkl
15.99  100  1 1 0
32.27  57  0 4 1
23.56  51  0 1 2
25.21  51  0 3 1
27.49  41  1 3 -1
28.45  41  2 0 0
30.45  33  1 3 1
21.58  32  1 1 1
23.07  30  1 0 -2
43.96  29  3 1 0

***

No. 2
Simulated powder XRD pattern of GaSi3 for Cu Ka, from the GGA-PBE geometry in the Materials Project.
Peak positions follow from Bragg's law for the DFT cell and can differ from measured ones.

Structural model:
a = 3.7114 Å, b = 3.7114 Å, c = 9.2404 Å
α = 90.00°, β = 90.00°, γ = 90.00°
Space group I4/mmm (No. 139)
Asymmetric unit:
Ga 0.0000 0.0000 0.0000
Si 0.0000 0.0000 0.5000
Si 0.0000 0.5000 0.2500

Main lines, in order of falling intensity (15 to 90 degrees two-theta):
two_theta  Rel. int.  hkl
39.49  100  1 1 2
49.09  26  2 0 0
38.99  26  0 0 4
25.87  24  1 0 1
64.40  23  2 0 4
85.33  21  3 1 2
70.96  17  1 1 6
19.21  12  0 0 2
85.01  11  2 2 4
37.96  9  1 0 3

***

No. 3
Simulated powder XRD pattern of NdGe2 for Cu Ka, from the GGA-PBE geometry in the Materials Project.
Peak positions follow from Bragg's law for the DFT cell and can differ from measured ones.

Structural model:
a = 4.2704 Å, b = 4.2704 Å, c = 15.4909 Å
α = 90.00°, β = 90.00°, γ = 90.00°
Space group I4_1/amd (No. 141, origin choice 2)
Asymmetric unit:
Nd 0.0000 0.2500 0.3750
Ge 0.0000 0.2500 0.7923

Main lines, in order of falling intensity (15 to 90 degrees two-theta):
two_theta  Rel. int.  hkl
31.81  100  1 1 2
35.81  56  1 0 5
42.33  41  2 0 0
27.10  31  1 0 3
56.61  29  2 1 5
46.20  28  1 0 7
64.44  20  2 1 7
70.83  20  3 1 2
61.41  13  2 2 0
50.99  11  2 1 3

***

No. 4
Simulated powder XRD pattern of CrC6N9 for Cu Ka, from the GGA-PBE geometry in the Materials Project.
Peak positions follow from Bragg's law for the DFT cell and can differ from measured ones.

Structural model:
a = 7.0318 Å, b = 13.5115 Å, c = 11.1616 Å
α = 90.00°, β = 90.00°, γ = 90.00°
Space group Cmcm (No. 63)
Asymmetric unit:
Cr 0.0000 0.2242 0.2500
C 0.1603 0.1232 0.7500
C 0.1606 0.3532 0.5914
N 0.0000 0.0765 0.7500
N 0.0000 0.3778 0.5442
N 0.1885 0.1669 0.1301
N 0.1894 0.3383 0.2500

Main lines, in order of falling intensity (15 to 90 degrees two-theta):
two_theta  Rel. int.  hkl
27.37  100  0 2 3
24.79  87  1 3 1
16.28  69  1 1 1
15.88  66  0 0 2
21.36  50  1 1 2
27.92  46  1 1 3
20.64  29  0 2 2
26.39  28  0 4 0
47.22  27  0 6 3
27.59  27  0 4 1